Structure and theoretical X-ray diffraction stick pattern of Ba2YGaSe5 (a cell relaxed with PBE; λ = 1.5418 Å (Cu Kα)).
Peak positions follow from Bragg's law for the DFT cell and can differ from measured ones.

Cell lengths 7.4030, 8.7867, 9.5402 Å; angles 103.52, 103.07, 107.40 degrees
Element x y z (fractional)
Ba: 0.1335 0.4780 0.2891
Ba: 0.1567 0.9891 0.2927
Ba: 0.8433 0.0109 0.7073
Ba: 0.8665 0.5220 0.7109
Y: 0.4979 0.2300 0.9983
Y: 0.5021 0.7700 0.0017
Ga: 0.3057 0.3718 0.6876
Ga: 0.6943 0.6282 0.3124
Se: 0.0114 0.7584 0.5075
Se: 0.2054 0.9111 0.9449
Se: 0.2130 0.4088 0.9274
Se: 0.4839 0.6537 0.6875
Se: 0.4878 0.1826 0.6851
Se: 0.5122 0.8174 0.3149
Se: 0.5161 0.3463 0.3125
Se: 0.7870 0.5912 0.0727
Se: 0.7946 0.0889 0.0551
Se: 0.9886 0.2416 0.4925

Most intense lines, 15 to 90 degrees two-theta, low angle first:
- 2θ 27.80, intensity 100
- 2θ 29.14, intensity 93
- 2θ 30.02, intensity 47
- 2θ 30.16, intensity 47
- 2θ 30.51, intensity 39
- 2θ 31.50, intensity 45
- 2θ 33.80, intensity 24
- 2θ 34.87, intensity 26
- 2θ 35.05, intensity 26
- 2θ 41.09, intensity 64

***

Structure and theoretical X-ray diffraction stick pattern of Ba4Ga22Sn (a cell relaxed with PBE; λ = 1.5418 Å (Cu Kα)).
Peak positions follow from Bragg's law for the DFT cell and can differ from measured ones.

Cell lengths 9.5882, 9.5882, 9.5882 Å; angles 109.47, 109.47, 109.47 degrees
Element x y z (fractional)
Ba: 0.0000 0.0000 0.6240
Ba: 0.0000 0.6240 0.0000
Ba: 0.3760 0.3760 0.3760
Ba: 0.6240 0.0000 0.0000
Ga: 0.0000 0.0000 0.2805
Ga: 0.0000 0.2756 0.4400
Ga: 0.0000 0.2805 0.0000
Ga: 0.0000 0.4400 0.2756
Ga: 0.1644 0.7244 0.7244
Ga: 0.2500 0.5000 0.7500
Ga: 0.2500 0.7500 0.5000
Ga: 0.2756 0.0000 0.4400
Ga: 0.2756 0.4400 0.0000
Ga: 0.2805 0.0000 0.0000
Ga: 0.4400 0.0000 0.2756
Ga: 0.4400 0.2756 0.0000
Ga: 0.5000 0.2500 0.7500
Ga: 0.5000 0.7500 0.2500
Ga: 0.5600 0.5600 0.8356
Ga: 0.5600 0.8356 0.5600
Ga: 0.7195 0.7195 0.7195
Ga: 0.7244 0.1644 0.7244
Ga: 0.7244 0.7244 0.1644
Ga: 0.7500 0.2500 0.5000
Ga: 0.7500 0.5000 0.2500
Ga: 0.8356 0.5600 0.5600
Sn: 0.0000 0.0000 0.0000

Most intense lines, 15 to 90 degrees two-theta, low angle first:
- 2θ 27.92, intensity 30
- 2θ 30.20, intensity 100
- 2θ 34.37, intensity 53
- 2θ 44.84, intensity 10
- 2θ 46.39, intensity 23
- 2θ 47.91, intensity 20
- 2θ 50.84, intensity 50
- 2θ 61.55, intensity 15
- 2θ 80.44, intensity 15
- 2θ 87.15, intensity 13

***

Structure and theoretical X-ray diffraction stick pattern of Ba5Ga5Sn (a cell relaxed with PBE; λ = 1.5418 Å (Cu Kα)).
Peak positions follow from Bragg's law for the DFT cell and can differ from measured ones.

Cell lengths 6.0757, 6.0757, 11.0096 Å; angles 90.00, 90.00, 120.00 degrees
Element x y z (fractional)
Ba: 0.0000 0.0000 0.0000
Ba: 0.3333 0.6667 0.2021
Ba: 0.3333 0.6667 0.7979
Ba: 0.6667 0.3333 0.3310
Ba: 0.6667 0.3333 0.6690
Ga: 0.0000 0.0000 0.3257
Ga: 0.0000 0.0000 0.6743
Ga: 0.1813 0.3625 0.5000
Ga: 0.1813 0.8187 0.5000
Ga: 0.6375 0.8187 0.5000
Sn: 0.6667 0.3333 0.0000

Most intense lines, 15 to 90 degrees two-theta, low angle first:
- 2θ 23.39, intensity 19
- 2θ 29.40, intensity 100
- 2θ 29.68, intensity 100
- 2θ 37.90, intensity 18
- 2θ 38.47, intensity 36
- 2θ 42.27, intensity 19
- 2θ 52.15, intensity 20
- 2θ 52.32, intensity 33
- 2θ 61.00, intensity 21
- 2θ 69.29, intensity 17

***

Structure and theoretical X-ray diffraction stick pattern of Ba3GdIrRuO9 (a cell relaxed with PBE; λ = 1.5418 Å (Cu Kα)).
Peak positions follow from Bragg's law for the DFT cell and can differ from measured ones.

Cell lengths 5.9768, 5.9768, 14.8266 Å; angles 90.00, 90.00, 120.00 degrees
Element x y z (fractional)
Ba: 0.0000 0.0000 0.0000
Ba: 0.0000 0.0000 0.5000
Ba: 0.3333 0.6667 0.1533
Ba: 0.3333 0.6667 0.8477
Ba: 0.6667 0.3333 0.3477
Ba: 0.6667 0.3333 0.6533
Gd: 0.0000 0.0000 0.2512
Gd: 0.0000 0.0000 0.7512
Ir: 0.3333 0.6667 0.4153
Ir: 0.6667 0.3333 0.9153
Ru: 0.3333 0.6667 0.5861
Ru: 0.6667 0.3333 0.0861
O: 0.0205 0.5103 0.5006
O: 0.1763 0.3526 0.3385
O: 0.1763 0.8237 0.3385
O: 0.1767 0.3533 0.6600
O: 0.1767 0.8233 0.6600
O: 0.3526 0.1763 0.8385
O: 0.3533 0.1767 0.1600
O: 0.4897 0.5103 0.5006
O: 0.4897 0.9795 0.5006
O: 0.5103 0.0205 0.0006
O: 0.5103 0.4897 0.0006
O: 0.6467 0.8233 0.6600
O: 0.6474 0.8237 0.3385
O: 0.8233 0.1767 0.1600
O: 0.8233 0.6467 0.1600
O: 0.8237 0.1763 0.8385
O: 0.8237 0.6474 0.8385
O: 0.9795 0.4897 0.0006

Most intense lines, 15 to 90 degrees two-theta, low angle first:
- 2θ 18.15, intensity 15
- 2θ 24.91, intensity 19
- 2θ 29.64, intensity 64
- 2θ 29.90, intensity 100
- 2θ 39.30, intensity 14
- 2θ 42.61, intensity 36
- 2θ 46.32, intensity 15
- 2θ 52.92, intensity 25
- 2θ 53.08, intensity 20
- 2θ 62.12, intensity 18